No. 1
This entry pairs a crystal structure of Ce5Bi4Sb with its computed powder diffractogram. Radiation: Cu Kα (λ = 1.5418 Å). Structure: a cell relaxed with GGA-PBE.
Neutral-atom scattering factors, no anomalous dispersion.

Atomic structure:
abc: 12.135 12.135 12.135
angles: 158.25 149.02 38.17
Fractional positions:
Ce  0.000  0.000  0.000
Ce  0.200  0.200  0.000
Ce  0.403  0.403  0.000
Ce  0.597  0.597  0.000
Ce  0.800  0.800  0.000
Bi  0.100  0.600  0.500
Bi  0.301  0.801  0.500
Bi  0.699  0.199  0.500
Bi  0.900  0.400  0.500
Sb  0.500  0.000  0.500

The 10 most intense peaks (10° ≤ 2θ ≤ 90°), by angle:
- 23.78 deg, I 4
- 27.52 deg, I 100
- 39.32 deg, I 78
- 48.66 deg, I 28
- 56.82 deg, I 13
- 64.26 deg, I 31
- 64.33 deg, I 6
- 71.26 deg, I 18
- 71.33 deg, I 9
- 84.55 deg, I 7

---

No. 2
This entry pairs a crystal structure of InRuPt2 with its computed powder diffractogram. Radiation: Cu Kα (λ = 1.5418 Å). Structure: a cell relaxed with GGA-PBE.
Neutral-atom scattering factors, no anomalous dispersion.

Atomic structure:
abc: 4.865 4.865 4.952
angles: 100.55 100.55 34.54
Fractional positions:
In  0.000  0.000  0.000
Ru  0.253  0.253  0.719
Pt  0.508  0.508  0.510
Pt  0.751  0.751  0.245

The 10 most intense peaks (10° ≤ 2θ ≤ 90°), by angle:
- 38.50 deg, I 100
- 39.53 deg, I 31
- 44.81 deg, I 44
- 45.54 deg, I 20
- 65.09 deg, I 14
- 66.52 deg, I 13
- 77.71 deg, I 9
- 78.38 deg, I 17
- 79.71 deg, I 8
- 82.50 deg, I 11